(1)
For Ho3ScPd, DFT lattice parameters and positions (PBE) gives the theoretical XRD peak list in this record (Cu Kα (λ = 1.5418 Å)).

The 12 most intense peaks (10 to 80 degrees two-theta), sorted by position:
| Position (°2θ) | Rel. int. |
| --- | --- |
| 16.07 | 304 |
| 20.21 | 300 |
| 26.98 | 263 |
| 29.37 | 458 |
| 29.80 | 475 |
| 31.75 | 1000 |
| 32.47 | 293 |
| 33.72 | 417 |
| 34.04 | 501 |
| 37.14 | 244 |
| 38.48 | 514 |
| 52.42 | 380 |

```
Ho3ScPd
1.0
5.575 -4.213 0.000
5.575 4.213 0.000
-4.684 0.000 5.996
Ho Sc Pd
6 2 2
Cartesian
-1.003 0.000 1.860 Ho
2.028 1.679 1.618 Ho
2.028 -1.679 1.618 Ho
4.439 1.679 4.378 Ho
4.439 -1.679 4.378 Ho
7.470 0.000 4.136 Ho
1.354 0.000 4.392 Sc
5.112 0.000 1.604 Sc
-1.244 0.000 5.507 Pd
7.710 0.000 0.489 Pd
```

(2)
For HoSc2Pd9, DFT lattice parameters and positions (PBE) gives the theoretical XRD peak list in this record (Cu Kα (λ = 1.5418 Å)).

The 12 most intense peaks (10 to 80 degrees two-theta), sorted by position:
| Position (°2θ) | Rel. int. |
| --- | --- |
| 23.16 | 35 |
| 26.48 | 23 |
| 32.12 | 18 |
| 34.66 | 23 |
| 37.11 | 21 |
| 38.56 | 1000 |
| 44.76 | 327 |
| 44.93 | 158 |
| 65.16 | 104 |
| 65.29 | 201 |
| 78.34 | 241 |
| 78.58 | 113 |

```
HoSc2Pd9
1.0
4.049 0.000 0.000
0.000 4.049 0.000
0.000 0.000 12.105
Ho Sc Pd
1 2 9
Cartesian
0.000 0.000 0.000 Ho
0.000 0.000 4.071 Sc
0.000 0.000 8.034 Sc
0.000 2.025 2.099 Pd
0.000 2.025 6.052 Pd
0.000 2.025 10.006 Pd
2.025 0.000 2.099 Pd
2.025 0.000 6.052 Pd
2.025 0.000 10.006 Pd
2.025 2.025 0.000 Pd
2.025 2.025 4.074 Pd
2.025 2.025 8.031 Pd
```

(3)
For Ho3ScPd3, DFT lattice parameters and positions (PBE) gives the theoretical XRD peak list in this record (Cu Kα (λ = 1.5418 Å)).

The 12 most intense peaks (10 to 80 degrees two-theta), sorted by position:
| Position (°2θ) | Rel. int. |
| --- | --- |
| 17.35 | 135 |
| 31.03 | 891 |
| 33.00 | 293 |
| 33.22 | 535 |
| 35.11 | 396 |
| 36.22 | 1000 |
| 38.56 | 249 |
| 39.99 | 150 |
| 43.89 | 351 |
| 49.12 | 157 |
| 55.54 | 418 |
| 69.26 | 142 |

```
Ho3ScPd3
1.0
4.515 -5.111 0.000
4.515 5.111 0.000
-0.363 0.000 6.996
Ho Sc Pd
6 2 6
Cartesian
4.515 3.324 0.000 Ho
4.334 2.485 3.498 Ho
3.094 0.000 0.919 Ho
5.574 0.000 6.077 Ho
4.334 -2.485 3.498 Ho
4.515 -3.324 0.000 Ho
2.104 0.000 4.332 Sc
6.564 0.000 2.664 Sc
2.080 2.365 5.475 Pd
0.448 0.000 2.190 Pd
2.080 -2.365 5.475 Pd
6.588 2.365 1.521 Pd
8.220 0.000 4.807 Pd
6.588 -2.365 1.521 Pd
```